# LiNb5O8
Theoretical PXRD pattern, Cu Kα. Input: a DFT-relaxed cell (GGA-PBE, the Materials Project).
No peak broadening, texture or thermal motion is included.

Structure:
```
LiNb5O8
1.0
8.2088 0.0000 0.0000
0.0000 9.7695 0.0000
-3.4945 0.0000 9.6942
Li Nb O
4 20 32
Cartesian
-0.7239 0.6718 4.6552
-2.4712 4.2129 9.5023
7.1854 5.5566 0.1919
5.4382 9.0977 5.0390
-1.9856 1.1637 7.8588
-0.2384 3.7211 3.0117
-0.6822 6.1797 4.6843
-2.4295 8.4746 9.5314
1.3619 6.0623 2.8455
-0.3853 8.5919 7.6926
2.0425 1.0929 1.0211
0.2952 3.7919 5.8682
0.8999 1.4298 8.7289
2.6471 3.4550 3.8817
2.0671 6.3145 5.8125
3.8144 8.3397 0.9654
4.4190 5.9776 3.8261
2.6718 8.6766 8.6732
5.0996 1.1776 2.0017
3.3523 3.7072 6.8488
7.1437 1.2950 0.1628
5.3964 3.5898 5.0099
4.9526 6.0484 6.6826
6.6999 8.6059 1.8355
0.2545 9.7688 1.3942
-1.4927 4.8855 6.2413
-2.5913 2.3281 9.5085
-0.8441 2.5566 4.6614
0.3263 4.9172 1.4702
-1.4209 9.7371 6.3174
-1.9909 7.2975 7.9350
-0.2436 7.3568 3.0879
1.3710 2.3800 2.6238
-0.3763 2.5048 7.4709
2.0094 7.3184 1.2378
0.2621 7.3359 6.0850
3.7433 2.2495 0.7569
1.9960 2.6353 5.6040
3.1200 4.9373 2.5735
1.3727 9.7169 7.4207
3.3415 0.0526 2.2736
1.5942 4.8322 7.1207
2.7183 7.1342 4.0902
0.9710 7.5201 8.9374
4.4521 2.4336 3.6093
2.7049 2.4511 8.4564
5.0905 7.2647 2.2234
3.3432 7.3895 7.0705
4.9579 2.4127 6.6063
6.7051 2.4720 1.7592
6.1352 0.0325 3.3769
4.3879 4.8523 8.2240
5.5583 7.2129 5.0329
7.3056 7.4414 0.1858
4.4597 0.0007 8.3000
6.2070 4.8841 3.4529
```

Largest 10 diffraction maxima, in order of rising 2θ, 10 to 80 degrees two-theta:
- 6.881 Å, 2θ 12.9, rel. 100
- 3.087 Å, 2θ 28.9, rel. 17
- 2.803 Å, 2θ 31.9, rel. 12
- 2.694 Å, 2θ 33.3, rel. 19
- 2.584 Å, 2θ 34.7, rel. 12
- 2.575 Å, 2θ 34.8, rel. 9
- 2.529 Å, 2θ 35.5, rel. 11
- 2.382 Å, 2θ 37.8, rel. 9
- 2.070 Å, 2θ 43.7, rel. 12
- 2.040 Å, 2θ 44.4, rel. 12